(1)
Simulated PXRD pattern
Compound: Mn2GaNi8
Radiation: Cu Kα, 1.54184 Å
Structure: a GGA-PBE-relaxed structure
No peak broadening, texture or thermal motion is included.

Structural model:
```
Mn2GaNi8
1.0
-1.782 3.649 5.162
1.782 -3.649 5.162
1.782 3.649 -5.162
Mn Ga Ni
2 1 8
direct
0.146 0.146 0.000 Mn
0.854 0.854 0.000 Mn
0.500 0.500 0.000 Ga
0.088 0.332 0.756 Ni
0.267 0.000 0.267 Ni
0.319 0.819 0.500 Ni
0.424 0.668 0.756 Ni
0.576 0.332 0.244 Ni
0.681 0.181 0.500 Ni
0.733 0.000 0.733 Ni
0.912 0.668 0.244 Ni
```

Top 10 peaks for 15 to 90 degrees two-theta, sorted by position:
- 32.9°, I = 6
- 44.2°, I = 100
- 48.6°, I = 5
- 50.0°, I = 17
- 51.3°, I = 17
- 53.2°, I = 13
- 74.4°, I = 10
- 76.0°, I = 8
- 77.0°, I = 8
- 89.9°, I = 11

---

(2)
Simulated PXRD pattern
Compound: Mn2GaNi8
Radiation: Cu Kα, 1.54184 Å
Structure: a GGA-PBE-relaxed structure
No peak broadening, texture or thermal motion is included.

Structural model:
```
Mn2GaNi8
1.0
3.220 -6.240 0.000
3.220 6.240 0.000
-2.743 0.000 3.340
Mn Ga Ni
2 1 8
direct
0.187 0.813 0.000 Mn
0.813 0.187 0.000 Mn
0.500 0.500 0.500 Ga
0.044 0.044 0.286 Ni
0.126 0.394 0.775 Ni
0.307 0.693 0.500 Ni
0.394 0.126 0.775 Ni
0.606 0.874 0.225 Ni
0.693 0.307 0.500 Ni
0.874 0.606 0.225 Ni
0.956 0.956 0.714 Ni
```

Top 10 peaks for 15 to 90 degrees two-theta, sorted by position:
- 41.7°, I = 25
- 41.8°, I = 100
- 43.5°, I = 81
- 44.4°, I = 20
- 45.6°, I = 16
- 46.7°, I = 93
- 48.3°, I = 17
- 51.5°, I = 15
- 57.1°, I = 13
- 87.5°, I = 18

---

(3)
Simulated PXRD pattern
Compound: Mn2Ga2Ni4P
Radiation: Cu Kα, 1.54184 Å
Structure: a GGA-PBE-relaxed structure
No peak broadening, texture or thermal motion is included.

Structural model:
```
Mn2Ga2Ni4P
1.0
-2.749 2.749 3.821
2.749 -2.749 3.821
2.749 2.749 -3.821
Mn Ga Ni P
2 2 4 1
direct
0.222 0.222 0.000 Mn
0.778 0.778 0.000 Mn
0.250 0.750 0.500 Ga
0.750 0.250 0.500 Ga
0.229 0.229 0.458 Ni
0.229 0.771 0.000 Ni
0.771 0.229 0.000 Ni
0.771 0.771 0.542 Ni
0.500 0.500 0.000 P
```

Top 10 peaks for 15 to 90 degrees two-theta, sorted by position:
- 32.9°, I = 5
- 40.4°, I = 100
- 46.7°, I = 41
- 47.6°, I = 19
- 51.7°, I = 6
- 68.2°, I = 11
- 68.9°, I = 21
- 82.4°, I = 19
- 83.7°, I = 8
- 87.4°, I = 10

---

(4)
Simulated PXRD pattern
Compound: ScMnGaNi
Radiation: Cu Kα, 1.54184 Å
Structure: a GGA-PBE-relaxed structure
No peak broadening, texture or thermal motion is included.

Structural model:
```
ScMnGaNi
1.0
6.177 0.000 0.000
0.000 6.177 0.000
0.000 0.000 6.177
Sc Mn Ga Ni
4 4 4 4
direct
0.000 0.000 0.000 Sc
0.000 0.500 0.500 Sc
0.500 0.000 0.500 Sc
0.500 0.500 0.000 Sc
0.250 0.250 0.250 Mn
0.250 0.750 0.750 Mn
0.750 0.250 0.750 Mn
0.750 0.750 0.250 Mn
0.000 0.000 0.500 Ga
0.000 0.500 0.000 Ga
0.500 0.000 0.000 Ga
0.500 0.500 0.500 Ga
0.250 0.250 0.750 Ni
0.250 0.750 0.250 Ni
0.750 0.250 0.250 Ni
0.750 0.750 0.750 Ni
```

Top 8 peaks for 15 to 90 degrees two-theta, sorted by position:
- 25.0°, I = 4
- 41.3°, I = 100
- 48.9°, I = 2
- 59.9°, I = 15
- 65.9°, I = 1
- 75.4°, I = 30
- 80.9°, I = 1
- 89.8°, I = 9

---

(5)
Simulated PXRD pattern
Compound: Th2MnGa3Ni12
Radiation: Cu Kα, 1.54184 Å
Structure: a GGA-PBE-relaxed structure
No peak broadening, texture or thermal motion is included.

Structural model:
```
Th2MnGa3Ni12
1.0
3.090 1.784 8.225
-3.090 1.784 8.225
0.000 -3.568 8.225
Th Mn Ga Ni
2 1 3 12
direct
0.152 0.152 0.152 Th
0.848 0.848 0.848 Th
0.500 0.500 0.500 Mn
0.000 0.500 0.500 Ga
0.500 0.000 0.500 Ga
0.500 0.500 0.000 Ga
0.081 0.081 0.690 Ni
0.081 0.690 0.081 Ni
0.142 0.577 0.577 Ni
0.310 0.919 0.919 Ni
0.423 0.423 0.858 Ni
0.423 0.858 0.423 Ni
0.577 0.142 0.577 Ni
0.577 0.577 0.142 Ni
0.690 0.081 0.081 Ni
0.858 0.423 0.423 Ni
0.919 0.310 0.919 Ni
0.919 0.919 0.310 Ni
```

Top 10 peaks for 15 to 90 degrees two-theta, sorted by position:
- 30.9°, I = 100
- 33.7°, I = 30
- 36.4°, I = 45
- 36.6°, I = 44
- 40.2°, I = 43
- 44.8°, I = 30
- 45.4°, I = 30
- 52.5°, I = 27
- 56.2°, I = 24
- 59.9°, I = 33

---

(6)
Simulated PXRD pattern
Compound: Y2MnGa3Ni4
Radiation: Cu Kα, 1.54184 Å
Structure: a GGA-PBE-relaxed structure
No peak broadening, texture or thermal motion is included.

Structural model:
```
Y2MnGa3Ni4
1.0
3.928 0.000 0.000
0.000 3.928 0.000
0.000 0.000 10.544
Y Mn Ga Ni
2 1 3 4
direct
0.000 0.500 0.247 Y
0.500 0.000 0.753 Y
0.500 0.500 0.000 Mn
0.000 0.000 0.000 Ga
0.000 0.500 0.631 Ga
0.500 0.000 0.369 Ga
0.000 0.000 0.500 Ni
0.000 0.500 0.859 Ni
0.500 0.000 0.141 Ni
0.500 0.500 0.500 Ni
```

Top 10 peaks for 15 to 90 degrees two-theta, sorted by position:
- 34.2°, I = 59
- 36.6°, I = 100
- 46.2°, I = 57
- 47.6°, I = 24
- 49.0°, I = 34
- 58.8°, I = 23
- 67.4°, I = 17
- 69.7°, I = 22
- 79.2°, I = 19
- 89.6°, I = 14

---

(7)
Simulated PXRD pattern
Compound: NpMnGa
Radiation: Cu Kα, 1.54184 Å
Structure: a GGA-PBE-relaxed structure
No peak broadening, texture or thermal motion is included.

Structural model:
```
NpMnGa
1.0
3.002 0.000 0.000
0.000 3.002 0.000
0.000 0.000 11.143
Np Mn Ga
2 2 2
direct
0.000 0.000 0.000 Np
0.500 0.500 0.500 Np
0.000 0.000 0.345 Mn
0.500 0.500 0.845 Mn
0.000 0.000 0.711 Ga
0.500 0.500 0.211 Ga
```

Top 10 peaks for 15 to 90 degrees two-theta, sorted by position:
- 15.9°, I = 38
- 30.8°, I = 51
- 32.1°, I = 19
- 38.6°, I = 100
- 42.6°, I = 42
- 54.3°, I = 18
- 61.8°, I = 14
- 66.5°, I = 12
- 66.9°, I = 14
- 75.3°, I = 28